Record 1
Starting from a cell relaxed with PBE, the powder X-ray diffraction pattern of Pr3YTh was simulated for Cu Kα, 1.54184 Å.
Kinematic intensities with the Lorentz-polarization factor, no thermal factor.

Largest 10 diffraction maxima, sorted by position, 10° ≤ 2θ ≤ 80°:
| d (Å) | Position (°2θ) | Rel. int. |
| --- | --- | --- |
| 6.613 | 13.39 | 27.7 |
| 3.022 | 29.56 | 56.7 |
| 2.973 | 30.05 | 44.3 |
| 2.888 | 30.96 | 100.0 |
| 2.859 | 31.28 | 91.8 |
| 2.370 | 37.97 | 23.0 |
| 2.204 | 40.96 | 16.5 |
| 1.618 | 56.91 | 18.5 |
| 1.593 | 57.90 | 25.0 |
| 1.508 | 61.49 | 15.1 |

```
Pr3YTh
1.0
6.613 -6.797 0.000
6.613 6.797 0.000
0.000 0.000 7.818
Pr Y Th
12 4 4
Cartesian
4.650 3.669 0.928 Pr
6.613 5.529 6.729 Pr
4.650 3.128 4.837 Pr
8.576 3.669 0.928 Pr
6.613 1.269 2.820 Pr
8.576 3.128 4.837 Pr
4.650 -3.128 2.981 Pr
6.613 -1.269 4.999 Pr
4.650 -3.669 6.890 Pr
8.576 -3.128 2.981 Pr
6.613 -5.529 1.089 Pr
8.576 -3.669 6.890 Pr
3.306 0.212 1.955 Y
3.306 -0.212 5.864 Y
9.919 0.212 1.955 Y
9.919 -0.212 5.864 Y
6.613 5.379 3.237 Th
6.613 1.418 7.146 Th
6.613 -1.418 0.673 Th
6.613 -5.379 4.582 Th
```

Record 2
Starting from a cell relaxed with PBE, the powder X-ray diffraction pattern of Pr4Y10Th was simulated for Cu Kα, 1.54184 Å.
Kinematic intensities with the Lorentz-polarization factor, no thermal factor.

Largest 10 diffraction maxima, sorted by position, 10° ≤ 2θ ≤ 80°:
| d (Å) | Position (°2θ) | Rel. int. |
| --- | --- | --- |
| 8.050 | 10.99 | 29.5 |
| 3.301 | 27.01 | 37.4 |
| 2.942 | 30.38 | 72.6 |
| 2.856 | 31.32 | 100.0 |
| 2.846 | 31.43 | 82.8 |
| 2.691 | 33.29 | 37.1 |
| 2.629 | 34.11 | 29.2 |
| 2.236 | 40.33 | 53.1 |
| 1.741 | 52.57 | 26.5 |
| 1.402 | 66.69 | 24.9 |

```
Pr4Y10Th
1.0
-5.692 5.692 4.053
5.692 -5.692 4.053
5.692 5.692 -4.053
Pr Y Th
4 10 1
Cartesian
2.562 2.562 0.000 Pr
3.130 -3.130 4.053 Pr
-3.130 3.130 4.053 Pr
3.130 3.130 4.053 Pr
5.692 3.336 -1.664 Y
5.692 0.000 2.026 Y
3.336 5.692 -1.664 Y
2.356 0.000 2.388 Y
5.692 3.336 1.664 Y
0.000 2.356 2.388 Y
3.336 5.692 1.664 Y
2.356 0.000 5.717 Y
0.000 5.692 2.026 Y
0.000 2.356 5.717 Y
0.000 0.000 0.000 Th
```

Record 3
Starting from a cell relaxed with PBE, the powder X-ray diffraction pattern of Pr5Y2Th2 was simulated for Cu Kα, 1.54184 Å.
Kinematic intensities with the Lorentz-polarization factor, no thermal factor.

Largest 10 diffraction maxima, sorted by position, 10° ≤ 2θ ≤ 80°:
| d (Å) | Position (°2θ) | Rel. int. |
| --- | --- | --- |
| 2.984 | 29.94 | 100.0 |
| 2.968 | 30.11 | 33.0 |
| 2.600 | 34.50 | 22.8 |
| 2.572 | 34.89 | 44.5 |
| 1.832 | 49.76 | 16.3 |
| 1.823 | 50.03 | 23.9 |
| 1.565 | 59.02 | 9.7 |
| 1.554 | 59.48 | 19.1 |
| 1.552 | 59.55 | 9.4 |
| 1.492 | 62.22 | 12.4 |

```
Pr5Y2Th2
1.0
6.313 0.000 0.000
1.098 6.265 0.000
2.112 0.650 7.825
Pr Y Th
5 2 2
Cartesian
0.000 0.000 0.000 Pr
2.139 1.781 4.291 Pr
4.285 5.687 1.816 Pr
5.237 1.228 6.009 Pr
7.383 5.133 3.535 Pr
2.124 2.866 0.847 Y
7.399 4.049 6.978 Y
4.260 4.571 5.227 Th
5.262 2.344 2.598 Th
```